Structure and theoretical powder XRD pattern of Mg2SbAsAu2 (a cell relaxed with GGA-PBE; Cu Kα, 1.54184 Å).

Principal peaks in the range 10° ≤ 2θ ≤ 90°, low angle first:
h k l, 2theta, I_rel
1 1 1, 24.1, 100
2 1 -2, 27.9, 6
0 2 0, 39.8, 96
3 2 -1, 47.1, 51
4 2 -4, 57.6, 11
4 0 4, 57.7, 5
1 3 1, 63.3, 21
4 3 0, 72.3, 33
3 3 -5, 77.5, 12
8 2 0, 85.9, 7

Atomic structure:
```
data_Mg2SbAsAu2
_symmetry_space_group_name_H-M 'P 1 m 1'
_symmetry_Int_Tables_number 6
_symmetry_space_group_name_Hall 'P -2y'
_cell_length_a 11.0869
_cell_length_b 4.5268
_cell_length_c 11.0877
_cell_angle_alpha 90.00
_cell_angle_beta 109.58
_cell_angle_gamma 90.00
loop_
_atom_site_label
_atom_site_fract_x
_atom_site_fract_y
_atom_site_fract_z
_atom_site_occupancy
Mg1 0.0000 0.0000 0.0000 1
Mg2 0.1177 0.5000 0.3746 1
Mg3 0.2390 0.0000 0.7420 1
Mg4 0.3749 0.5000 0.1352 1
Mg5 0.5002 0.0000 0.4995 1
Mg6 0.6255 0.5000 0.8679 1
Mg7 0.7467 0.0000 0.2581 1
Mg8 0.8678 0.5000 0.6209 1
Sb1 0.1193 0.5000 0.8738 1
Sb2 0.3703 0.5000 0.6217 1
Sb3 0.4980 0.0000 0.0014 1
Sb4 0.8729 0.5000 0.1256 1
As1 0.2491 0.0000 0.2512 1
As2 0.6228 0.5000 0.3771 1
As3 0.7453 0.0000 0.7460 1
As4 0.9938 0.0000 0.4984 1
Au1 0.1272 0.5000 0.1298 1
Au2 0.2416 0.0000 0.4926 1
Au3 0.3710 0.5000 0.8746 1
Au4 0.4986 0.0000 0.2554 1
Au5 0.6236 0.5000 0.6218 1
Au6 0.7481 0.0000 0.9953 1
Au7 0.8700 0.5000 0.3773 1
Au8 0.9894 0.0000 0.7440 1
```